# 1
Simulated PXRD pattern
Compound: NdErBiSb
Radiation: Cu Kα (λ = 1.5418 Å)
Structure: a cell relaxed with PBE
No peak broadening, texture or thermal motion is included.

Cell and atoms:
a b c (Å): 4.4856 4.4856 21.9445
angles (deg): 90.00 90.00 120.00
Space group R3m (No. 160, hexagonal axes)
Inequivalent atoms, fractional coordinates:
Nd 0.0000 0.0000 0.0000 x3
Er 0.0000 0.0000 0.5040 x3
Bi 0.0000 0.0000 0.7557 x3
Sb 0.0000 0.0000 0.2482 x3

Principal peaks in the range 5 to 70 degrees two-theta, low angle first:
index, Position (°2θ), I_rel
0 0 3, 12.10, 3.7
1 0 4, 28.15, 100.0
1 1 0, 40.23, 77.1
0 2 4, 49.82, 27.7
2 0 8, 58.20, 13.0
2 1 4, 65.88, 35.7

***

# 2
Simulated PXRD pattern
Compound: Tb3SmSb4
Radiation: Cu Kα (λ = 1.5418 Å)
Structure: a cell relaxed with PBE
No peak broadening, texture or thermal motion is included.

Cell and atoms:
a b c (Å): 6.2461 6.2461 6.2461
angles (deg): 90.00 90.00 90.00
Space group Pm-3m (No. 221)
Inequivalent atoms, fractional coordinates:
Tb 0.0000 0.0000 0.5000 x3
Sm 0.5000 0.5000 0.5000 x1
Sb 0.0000 0.0000 0.0000 x1
Sb 0.0000 0.5000 0.5000 x3

Principal peaks in the range 5 to 70 degrees two-theta, low angle first:
index, Position (°2θ), I_rel
1 1 1, 24.69, 2.9
2 0 0, 28.58, 100.0
2 2 0, 40.86, 76.3
2 2 2, 50.62, 27.2
4 0 0, 59.17, 12.7
4 2 0, 67.00, 35.0

***

# 3
Simulated PXRD pattern
Compound: La3Pr5Sm
Radiation: Cu Kα (λ = 1.5418 Å)
Structure: a cell relaxed with PBE
No peak broadening, texture or thermal motion is included.

Cell and atoms:
a b c (Å): 12.2728 8.7798 13.2899
angles (deg): 90.00 104.45 90.00
Space group C2/m (No. 12)
Inequivalent atoms, fractional coordinates:
La 0.0000 0.0000 0.0000 x2
La 0.0000 0.0000 0.5000 x2
La 0.0714 0.5000 0.2085 x4
La 0.2260 0.5000 0.4537 x4
Pr 0.0000 0.3145 0.0000 x4
Pr 0.0720 0.5000 0.6187 x4
Pr 0.1527 0.1891 0.7773 x8
Pr 0.2332 0.5000 0.9576 x4
Sm 0.1290 0.0000 0.2673 x4

Principal peaks in the range 5 to 70 degrees two-theta, low angle first:
index, Position (°2θ), I_rel
0 2 0, 20.23, 53.3
2 2 1, 27.16, 46.8
1 1 -4, 28.74, 66.7
4 0 -2, 29.81, 100.0
2 2 -3, 30.31, 50.5
3 1 2, 31.03, 74.5

***

# 4
Simulated PXRD pattern
Compound: LiMnH4
Radiation: Cu Kα (λ = 1.5418 Å)
Structure: a cell relaxed with PBE
No peak broadening, texture or thermal motion is included.

Cell and atoms:
a b c (Å): 5.6165 8.1653 4.4855
angles (deg): 90.00 122.29 90.00
Space group C2/c (No. 15)
Inequivalent atoms, fractional coordinates:
Li 0.0000 0.1441 0.2500 x4
Mn 0.0000 0.4874 0.2500 x4
H 0.0944 0.3482 0.5594 x8
H 0.2471 0.0646 0.8238 x8

Principal peaks in the range 5 to 70 degrees two-theta, low angle first:
index, Position (°2θ), I_rel
1 1 0, 21.65, 100.0
0 2 0, 21.77, 51.3
1 3 0, 38.11, 23.9
2 0 -2, 42.26, 22.2
0 0 2, 47.99, 17.2
1 3 -2, 53.30, 17.3